For LiPrTcH6, a DFT-relaxed cell (GGA-PBE, Alexandria) gives the simulated PXRD pattern in this record (CuKα).

Peak list (8 most intense, 10 to 90 degrees two-theta, by angle)
- hkl 0 0 1, d = 4.101 Å, 21.7 deg, intensity 20
- hkl 1 0 0, d = 3.964 Å, 22.4 deg, intensity 15
- hkl 0 1 1, d = 3.050 Å, 29.3 deg, intensity 49
- hkl 1 1 -1, d = 2.987 Å, 29.9 deg, intensity 100
- hkl 1 0 1, d = 2.345 Å, 38.4 deg, intensity 17
- hkl 1 0 -2, d = 2.331 Å, 38.6 deg, intensity 16
- hkl 0 2 0, d = 2.281 Å, 39.5 deg, intensity 15
- hkl 2 0 -1, d = 2.256 Å, 40.0 deg, intensity 15

Structural model:
```
data_LiPrTcH6
_space_group_name_H-M_alt 'P 1 m 1'
_space_group_IT_number 6
_cell_length_a 4.5112
_cell_length_b 4.5626
_cell_length_c 4.6668
_cell_angle_alpha 90.00
_cell_angle_beta 118.52
_cell_angle_gamma 90.00
loop_
_space_group_symop_operation_xyz
'x,y,z'
'x,-y,z'
loop_
_atom_site_label
_atom_site_fract_x
_atom_site_fract_y
_atom_site_fract_z
Li1 0.0000 0.0000 0.0000
Pr1 0.3338 0.5000 0.6682
Tc1 0.6713 0.0000 0.3477
H1 0.3566 0.2594 0.1620
H2 0.8069 0.2581 0.1658
H3 0.8293 0.2666 0.6542
```